Record 1
Structure and theoretical PXRD pattern of NdFe9B4 (a DFT-relaxed cell (PBE, Alexandria); Cu Kα X-rays).
Kinematic intensities with the Lorentz-polarization factor, no thermal factor.

Crystal structure
```
data_NdFe9B4
_space_group_name_H-M_alt 'I 4/m c m'
_space_group_IT_number 140
_space_group_name_Hall '-I 4 2c'
_cell_length_a 7.4515
_cell_length_b 7.4515
_cell_length_c 10.9607
_cell_angle_alpha 90.00
_cell_angle_beta 90.00
_cell_angle_gamma 90.00
loop_
_atom_site_label
_atom_site_type_symbol
_atom_site_fract_x
_atom_site_fract_y
_atom_site_fract_z
Nd1 Nd 0.0000 0.0000 0.2500
Fe1 Fe 0.0000 0.5000 0.0000
Fe2 Fe 0.0938 0.1870 0.0000
Fe3 Fe 0.1390 0.3610 0.3304
B1 B 0.1517 0.3483 0.1470
```

Most intense lines, 10° ≤ 2θ ≤ 80°, by angle:
| d/Å | I/Imax |
| --- | --- |
| 2.740 | 17 |
| 2.462 | 45 |
| 2.431 | 22 |
| 2.374 | 11 |
| 2.207 | 14 |
| 2.165 | 100 |
| 2.031 | 17 |
| 1.666 | 14 |

Record 2
Structure and theoretical PXRD pattern of NdFeB14 (a DFT-relaxed cell (PBE, Alexandria); Cu Kα X-rays).
Kinematic intensities with the Lorentz-polarization factor, no thermal factor.

Crystal structure
```
data_NdFeB14
_space_group_name_H-M_alt 'I m m a'
_space_group_IT_number 74
_space_group_name_Hall '-I 2b 2'
_cell_length_a 5.8433
_cell_length_b 10.7223
_cell_length_c 8.3427
_cell_angle_alpha 90.00
_cell_angle_beta 90.00
_cell_angle_gamma 90.00
loop_
_atom_site_label
_atom_site_type_symbol
_atom_site_fract_x
_atom_site_fract_y
_atom_site_fract_z
Nd1 Nd 0.0000 0.2500 0.1305
Fe1 Fe 0.2500 0.2500 0.7500
B1 B 0.0000 0.0871 0.6668
B2 B 0.0000 0.1323 0.8656
B3 B 0.0000 0.1660 0.4662
B4 B 0.1612 0.0584 0.3397
B5 B 0.2486 0.0786 0.5480
```

Most intense lines, 10° ≤ 2θ ≤ 80°, by angle:
| d/Å | I/Imax |
| --- | --- |
| 5.361 | 100 |
| 4.786 | 32 |
| 3.570 | 68 |
| 3.237 | 80 |
| 2.671 | 69 |
| 2.462 | 56 |
| 2.274 | 36 |
| 2.183 | 65 |

Record 3
Structure and theoretical PXRD pattern of Nd2Fe21B6 (a DFT-relaxed cell (PBE, Alexandria); Cu Kα X-rays).
Kinematic intensities with the Lorentz-polarization factor, no thermal factor.

Crystal structure
```
data_Nd2Fe21B6
_space_group_name_H-M_alt 'F m -3 m'
_space_group_IT_number 225
_space_group_name_Hall '-F 4 2 3'
_cell_length_a 10.8874
_cell_length_b 10.8874
_cell_length_c 10.8874
_cell_angle_alpha 90.00
_cell_angle_beta 90.00
_cell_angle_gamma 90.00
loop_
_atom_site_label
_atom_site_type_symbol
_atom_site_fract_x
_atom_site_fract_y
_atom_site_fract_z
Nd1 Nd 0.2500 0.2500 0.2500
Fe1 Fe 0.0000 0.0000 0.0000
Fe2 Fe 0.0000 0.1692 0.1692
Fe3 Fe 0.1111 0.1111 0.3889
B1 B 0.0000 0.0000 0.2710
```

Most intense lines, 10° ≤ 2θ ≤ 80°, by angle:
| d/Å | I/Imax |
| --- | --- |
| 2.435 | 73 |
| 2.222 | 62 |
| 2.095 | 100 |
| 1.925 | 33 |
| 1.840 | 24 |
| 1.641 | 20 |
| 1.320 | 21 |
| 1.283 | 38 |